Diffraction record for Sr2LiV2Si4O14. The PXRD pattern is computed, not measured: it uses a structure optimized by DFT (PBE+U) and λ = 1.5418 Å (Cu Kα).
Neutral-atom scattering factors, no anomalous dispersion.

Structure:
a = 5.4504 Å, b = 7.1682 Å, c = 7.8652 Å
α = 87.00°, β = 71.83°, γ = 87.18°
Positions (direct):
Sr  0.0000  0.0000  0.0000
Sr  0.3693  0.5471  0.2342
Li  0.9338  0.3861  0.1045
V  0.1487  0.5654  0.7776
V  0.2763  0.0391  0.4082
Si  0.5498  0.2608  0.8636
Si  0.6017  0.8058  0.8232
Si  0.7662  0.3224  0.4422
Si  0.7827  0.7715  0.3941
O  0.0550  0.2379  0.3298
O  0.0680  0.8579  0.3027
O  0.1568  0.0086  0.6274
O  0.2169  0.5569  0.5495
O  0.2441  0.3306  0.9151
O  0.3250  0.7129  0.9219
O  0.5431  0.2325  0.3805
O  0.5496  0.0284  0.8768
O  0.5762  0.8630  0.2973
O  0.6782  0.7899  0.6081
O  0.6921  0.3194  0.0016
O  0.7042  0.3316  0.6572
O  0.8038  0.5425  0.3410
O  0.8277  0.7224  0.9026

Main lines, low angle first (10° ≤ 2θ ≤ 90°):
d/Å  I_rel
3.735  91
3.364  47
3.325  60
3.305  79
3.258  59
3.142  43
3.005  81
2.991  52
2.896  100
2.720  96

---

Diffraction record for Li9V5Si2O16. The PXRD pattern is computed, not measured: it uses a structure optimized by DFT (PBE+U) and λ = 1.5418 Å (Cu Kα).
Neutral-atom scattering factors, no anomalous dispersion.

Structure:
a = 5.1047 Å, b = 5.1152 Å, c = 11.3176 Å
α = 80.90°, β = 85.32°, γ = 80.34°
Positions (direct):
Li  0.0000  0.0000  0.0000
Li  0.2474  0.1843  0.3076
Li  0.2471  0.4272  0.0595
Li  0.2471  0.9357  0.5592
Li  0.2588  0.6838  0.8235
Li  0.7412  0.3162  0.1765
Li  0.7529  0.0643  0.4408
Li  0.7529  0.5728  0.9405
Li  0.7526  0.8157  0.6924
V  0.0000  0.5000  0.5000
V  0.0026  0.2383  0.7626
V  0.4985  0.3694  0.6323
V  0.5015  0.6306  0.3677
V  0.9974  0.7617  0.2374
Si  0.4963  0.8802  0.1160
Si  0.5037  0.1198  0.8840
O  0.1266  0.5740  0.6560
O  0.1299  0.8315  0.3968
O  0.1649  0.0624  0.1516
O  0.1700  0.3165  0.9014
O  0.3727  0.3012  0.4672
O  0.3833  0.5800  0.2003
O  0.3915  0.0407  0.7414
O  0.4010  0.8213  0.9727
O  0.5990  0.1787  0.0273
O  0.6085  0.9593  0.2586
O  0.6167  0.4200  0.7997
O  0.6273  0.6988  0.5328
O  0.8300  0.6835  0.0986
O  0.8351  0.9376  0.8484
O  0.8701  0.1685  0.6032
O  0.8734  0.4260  0.3440

Main lines, low angle first (10° ≤ 2θ ≤ 90°):
d/Å  I_rel
4.826  100
2.512  11
2.499  11
2.489  10
2.083  32
2.078  30
2.074  30
1.604  9
1.473  16
1.466  8

---

Diffraction record for LiVSi2O6. The PXRD pattern is computed, not measured: it uses a structure optimized by DFT (PBE+U) and λ = 1.5418 Å (Cu Kα).
Neutral-atom scattering factors, no anomalous dispersion.

Structure:
a = 6.6247 Å, b = 6.6247 Å, c = 5.3661 Å
α = 105.58°, β = 105.58°, γ = 83.73°
Positions (direct):
Li  0.2436  0.7564  0.7500
Li  0.7564  0.2436  0.2500
V  0.4021  0.5979  0.2500
V  0.5979  0.4021  0.7500
Si  0.1129  0.2916  0.7308
Si  0.2916  0.1129  0.2308
Si  0.7084  0.8871  0.7692
Si  0.8871  0.7084  0.2692
O  0.1257  0.6151  0.3331
O  0.1412  0.1497  0.4339
O  0.1497  0.1412  0.9339
O  0.2973  0.4680  0.8509
O  0.3849  0.8743  0.1669
O  0.4680  0.2973  0.3509
O  0.5320  0.7027  0.6491
O  0.6151  0.1257  0.8331
O  0.7027  0.5320  0.1491
O  0.8503  0.8588  0.0661
O  0.8588  0.8503  0.5661
O  0.8743  0.3849  0.6669

Main lines, low angle first (10° ≤ 2θ ≤ 90°):
d/Å  I_rel
6.376  40
4.524  25
4.421  32
3.532  34
3.057  100
2.898  61
2.502  31
2.428  19
1.658  25
1.640  20

---

Diffraction record for LiVSi2O6. The PXRD pattern is computed, not measured: it uses a structure optimized by DFT (PBE+U) and λ = 1.5418 Å (Cu Kα).
Neutral-atom scattering factors, no anomalous dispersion.

Structure:
a = 7.0309 Å, b = 7.3767 Å, c = 7.4808 Å
α = 81.11°, β = 62.19°, γ = 77.57°
Positions (direct):
Li  0.0000  0.0000  0.0000
Li  0.0883  0.2948  0.2460
Li  0.9117  0.7052  0.7540
V  0.4486  0.7247  0.7491
V  0.5000  0.0000  0.0000
V  0.5514  0.2753  0.2509
Si  0.1838  0.6678  0.2492
Si  0.2569  0.3343  0.7843
Si  0.2966  0.8948  0.4744
Si  0.7034  0.1052  0.5256
Si  0.7431  0.6657  0.2157
Si  0.8162  0.3322  0.7508
O  0.0510  0.3309  0.7422
O  0.1302  0.7827  0.4491
O  0.2140  0.9239  0.7107
O  0.2552  0.1876  0.9722
O  0.2548  0.5453  0.8154
O  0.2946  0.4550  0.2586
O  0.3261  0.7948  0.0482
O  0.3590  0.0678  0.3046
O  0.4752  0.2615  0.5702
O  0.5248  0.7385  0.4298
O  0.6410  0.9322  0.6954
O  0.6739  0.2052  0.9518
O  0.7054  0.5450  0.7414
O  0.7452  0.4547  0.1846
O  0.7448  0.8124  0.0278
O  0.7860  0.0761  0.2893
O  0.8698  0.2173  0.5509
O  0.9490  0.6691  0.2578

Main lines, low angle first (10° ≤ 2θ ≤ 90°):
d/Å  I_rel
6.135  100
4.330  41
3.438  44
3.406  50
3.074  67
2.932  33
2.866  69
2.803  67
2.422  38
1.757  30